Theoretical powder XRD pattern of PuInNi10 for λ = 1.5418 Å (Cu Kα), from the GGA-PBE geometry in Alexandria.

Largest 6 diffraction maxima, in order of rising 2θ, 10° ≤ 2θ ≤ 90°:
2θ (°)	I_rel
31.0	88
37.3	33
43.5	35
43.9	100
44.0	50
45.3	44

a b c (Å): 4.001 4.802 8.354
angles (deg): 90.00 90.00 90.00
Positions (direct):
Pu  0.000  0.000  0.000
In  0.000  0.500  0.500
Ni  0.000  0.000  0.339
Ni  0.000  0.000  0.661
Ni  0.000  0.500  0.176
Ni  0.000  0.500  0.824
Ni  0.500  0.000  0.500
Ni  0.500  0.248  0.250
Ni  0.500  0.248  0.750
Ni  0.500  0.500  0.000
Ni  0.500  0.752  0.250
Ni  0.500  0.752  0.750

---

Theoretical powder XRD pattern of In4ReNi for λ = 1.5418 Å (Cu Kα), from the GGA-PBE geometry in Alexandria.

Largest 6 diffraction maxima, in order of rising 2θ, 10° ≤ 2θ ≤ 90°:
2θ (°)	I_rel
32.0	28
37.7	100
39.5	39
60.8	32
66.9	26
80.6	14

a b c (Å): 5.593 5.593 5.593
angles (deg): 60.00 60.00 60.00
Positions (direct):
In  0.125  0.125  0.125
In  0.125  0.125  0.625
In  0.125  0.625  0.125
In  0.625  0.125  0.125
Re  0.500  0.500  0.500
Ni  0.750  0.750  0.750

---

Theoretical powder XRD pattern of InNi2Rh for λ = 1.5418 Å (Cu Kα), from the GGA-PBE geometry in Alexandria.

Largest 6 diffraction maxima, in order of rising 2θ, 10° ≤ 2θ ≤ 90°:
2θ (°)	I_rel
28.3	20
40.0	100
42.4	49
42.8	72
44.0	39
62.8	30

a b c (Å): 2.799 4.114 5.118
angles (deg): 90.00 105.76 90.00
Positions (direct):
In  0.000  0.000  0.000
Ni  0.609  0.500  0.218
Ni  0.737  0.000  0.480
Rh  0.335  0.500  0.673

---

Theoretical powder XRD pattern of InNiRh2S2 for λ = 1.5418 Å (Cu Kα), from the GGA-PBE geometry in Alexandria.

Largest 6 diffraction maxima, in order of rising 2θ, 10° ≤ 2θ ≤ 90°:
2θ (°)	I_rel
31.8	17
33.4	100
36.9	35
38.3	32
43.5	25
56.4	32

a b c (Å): 11.425 11.425 11.425
angles (deg): 16.42 16.42 16.42
Positions (direct):
In  0.000  0.000  0.000
Ni  0.500  0.500  0.500
Rh  0.267  0.267  0.267
Rh  0.733  0.733  0.733
S  0.438  0.438  0.438
S  0.562  0.562  0.562

---

Theoretical powder XRD pattern of YInNiRh for λ = 1.5418 Å (Cu Kα), from the GGA-PBE geometry in Alexandria.

Largest 6 diffraction maxima, in order of rising 2θ, 10° ≤ 2θ ≤ 90°:
2θ (°)	I_rel
23.3	4
38.5	100
45.5	2
55.5	17
69.6	33
82.5	10

a b c (Å): 4.679 4.679 4.679
angles (deg): 60.00 60.00 60.00
Positions (direct):
Y  0.000  0.000  0.000
In  0.500  0.500  0.500
Ni  0.750  0.750  0.750
Rh  0.250  0.250  0.250

---

Theoretical powder XRD pattern of InNiRu2 for λ = 1.5418 Å (Cu Kα), from the GGA-PBE geometry in Alexandria.

Largest 6 diffraction maxima, in order of rising 2θ, 10° ≤ 2θ ≤ 90°:
2θ (°)	I_rel
40.2	100
46.1	33
48.0	15
68.7	19
81.3	24
84.1	11

a b c (Å): 4.704 4.704 4.704
angles (deg): 130.48 130.48 72.65
Positions (direct):
In  0.000  0.000  0.000
Ni  0.250  0.750  0.500
Ru  0.500  0.500  0.000
Ru  0.750  0.250  0.500

---

Theoretical powder XRD pattern of InNi2Ru for λ = 1.5418 Å (Cu Kα), from the GGA-PBE geometry in Alexandria.

Largest 6 diffraction maxima, in order of rising 2θ, 10° ≤ 2θ ≤ 90°:
2θ (°)	I_rel
28.1	22
40.6	100
42.5	74
43.0	49
43.7	42
63.0	30

a b c (Å): 4.139 5.137 5.137
angles (deg): 30.86 90.00 90.00
Positions (direct):
In  0.000  0.000  0.000
Ni  0.000  0.741  0.741
Ni  0.500  0.608  0.608
Ru  0.500  0.331  0.331

---

Theoretical powder XRD pattern of In3Ni9S2 for λ = 1.5418 Å (Cu Kα), from the GGA-PBE geometry in Alexandria.

Largest 6 diffraction maxima, in order of rising 2θ, 10° ≤ 2θ ≤ 90°:
2θ (°)	I_rel
33.7	75
40.7	100
42.7	79
45.4	47
48.6	37
70.6	34

a b c (Å): 5.334 5.334 15.970
angles (deg): 90.00 90.00 120.00
Positions (direct):
In  0.000  0.000  0.250
In  0.000  0.000  0.750
In  0.333  0.667  0.094
In  0.333  0.667  0.406
In  0.667  0.333  0.594
In  0.667  0.333  0.906
Ni  0.011  0.506  0.250
Ni  0.161  0.322  0.561
Ni  0.161  0.322  0.939
Ni  0.161  0.839  0.561
Ni  0.161  0.839  0.939
Ni  0.322  0.161  0.061
Ni  0.322  0.161  0.439
Ni  0.494  0.506  0.250
Ni  0.494  0.989  0.250
Ni  0.506  0.011  0.750
Ni  0.506  0.494  0.750
Ni  0.678  0.839  0.561
Ni  0.678  0.839  0.939
Ni  0.839  0.161  0.061
Ni  0.839  0.161  0.439
Ni  0.839  0.678  0.061
Ni  0.839  0.678  0.439
Ni  0.989  0.494  0.750
S  0.333  0.667  0.651
S  0.333  0.667  0.849
S  0.667  0.333  0.151
S  0.667  0.333  0.349

---

Theoretical powder XRD pattern of In2Ni7SnSb2 for λ = 1.5418 Å (Cu Kα), from the GGA-PBE geometry in Alexandria.

Largest 6 diffraction maxima, in order of rising 2θ, 10° ≤ 2θ ≤ 90°:
2θ (°)	I_rel
28.1	65
29.2	53
34.6	47
42.6	76
46.7	52
49.6	100

a b c (Å): 3.678 3.678 14.830
angles (deg): 94.75 94.75 89.51
Positions (direct):
In  0.088  0.088  0.255
In  0.912  0.912  0.745
Ni  0.000  0.000  0.000
Ni  0.043  0.543  0.126
Ni  0.161  0.161  0.439
Ni  0.457  0.957  0.874
Ni  0.543  0.043  0.126
Ni  0.839  0.839  0.561
Ni  0.957  0.457  0.874
Sn  0.500  0.500  0.000
Sb  0.357  0.357  0.605
Sb  0.643  0.643  0.395

---

Theoretical powder XRD pattern of Sc2In3Ni for λ = 1.5418 Å (Cu Kα), from the GGA-PBE geometry in Alexandria.

Largest 6 diffraction maxima, in order of rising 2θ, 10° ≤ 2θ ≤ 90°:
2θ (°)	I_rel
26.6	41
34.7	100
38.3	37
38.5	62
47.5	32
69.0	20

a b c (Å): 3.348 4.703 8.074
angles (deg): 90.00 90.00 90.00
Positions (direct):
Sc  0.000  0.000  0.000
Sc  0.000  0.500  0.446
In  0.500  0.000  0.596
In  0.500  0.500  0.144
In  0.500  0.500  0.794
Ni  0.500  0.000  0.275

---

Theoretical powder XRD pattern of ScInNi2 for λ = 1.5418 Å (Cu Kα), from the GGA-PBE geometry in Alexandria.

Largest 6 diffraction maxima, in order of rising 2θ, 10° ≤ 2θ ≤ 90°:
2θ (°)	I_rel
18.6	18
35.7	100
38.6	35
44.2	37
45.0	52
45.3	29

a b c (Å): 4.007 5.063 5.063
angles (deg): 39.57 90.00 90.00
Positions (direct):
Sc  0.000  0.000  0.000
In  0.500  0.705  0.705
Ni  0.000  0.284  0.284
Ni  0.500  0.429  0.429

---

Theoretical powder XRD pattern of Sc3InNi8 for λ = 1.5418 Å (Cu Kα), from the GGA-PBE geometry in Alexandria.

Largest 6 diffraction maxima, in order of rising 2θ, 10° ≤ 2θ ≤ 90°:
2θ (°)	I_rel
36.7	26
40.0	66
43.4	100
44.2	88
70.8	24
74.3	27

a b c (Å): 4.892 4.892 7.992
angles (deg): 90.00 90.00 120.00
Positions (direct):
Sc  0.000  0.000  0.000
Sc  0.000  0.000  0.379
Sc  0.333  0.667  0.858
In  0.333  0.667  0.492
Ni  0.003  0.502  0.183
Ni  0.332  0.166  0.688
Ni  0.498  0.502  0.183
Ni  0.498  0.997  0.183
Ni  0.667  0.333  0.435
Ni  0.667  0.333  0.940
Ni  0.834  0.166  0.688
Ni  0.834  0.668  0.688

---

What did the third record say?
Theoretical powder XRD pattern of InNi2Rh for λ = 1.5418 Å (Cu Kα), from the GGA-PBE geometry in Alexandria.

Largest 6 diffraction maxima, in order of rising 2θ, 10° ≤ 2θ ≤ 90°:
2θ (°)	I_rel
28.3	20
40.0	100
42.4	49
42.8	72
44.0	39
62.8	30

a b c (Å): 2.799 4.114 5.118
angles (deg): 90.00 105.76 90.00
Positions (direct):
In  0.000  0.000  0.000
Ni  0.609  0.500  0.218
Ni  0.737  0.000  0.480
Rh  0.335  0.500  0.673